[1]
Starting from a DFT-relaxed cell (PBE, Alexandria), the XRD peak list of TmThP2Rh5 was computed for a wavelength of 1.5418 Å.
Lines closer than 0.1° are merged.

Crystal structure
```
9
Lattice="4.0769 0.0000 0.0000 0.0000 4.0769 0.0000 0.0000 0.0000 10.5025" Properties=species:S:1:pos:R:3 pbc="T T T"
Tm 0.0000 0.0000 0.0000
Th 0.0000 0.0000 5.2512
P 2.0384 2.0384 2.9707
P 2.0384 2.0384 7.5318
Rh 0.0000 2.0384 2.0362
Rh 0.0000 2.0384 8.4663
Rh 2.0384 0.0000 2.0362
Rh 2.0384 0.0000 8.4663
Rh 2.0384 2.0384 5.2512
```

Principal peaks in the range 2θ = 5–70°, by angle:
2θ (°), Rel. int., index
25.4, 25, 0 0 3
27.7, 38, 1 0 2
32.2, 23, 1 1 1
34.1, 18, 0 0 4
35.5, 100, 1 1 2
44.4, 44, 2 0 0
46.8, 18, 1 1 4
54.0, 20, 1 1 5
57.2, 20, 2 0 4
64.7, 14, 2 2 0

=====

[2]
Starting from a DFT-relaxed cell (PBE, Alexandria), the XRD peak list of Li14HgRh was computed for a wavelength of 1.5418 Å.
Lines closer than 0.1° are merged.

Crystal structure
```
16
Lattice="6.5406 0.0000 0.0000 0.0000 6.5406 0.0000 0.0000 0.0000 6.5448" Properties=species:S:1:pos:R:3 pbc="T T T"
Li 0.0000 0.0000 0.0000
Li 0.0000 3.2703 0.0000
Li 0.0000 3.2703 3.2724
Li 1.5386 1.5386 1.8010
Li 1.5386 1.5386 4.7438
Li 1.5386 5.0021 1.8010
Li 1.5386 5.0021 4.7438
Li 3.2703 0.0000 0.0000
Li 3.2703 0.0000 3.2724
Li 3.2703 3.2703 0.0000
Li 5.0021 1.5386 1.8010
Li 5.0021 1.5386 4.7438
Li 5.0021 5.0021 1.8010
Li 5.0021 5.0021 4.7438
Hg 3.2703 3.2703 3.2724
Rh 0.0000 0.0000 3.2724
```

Principal peaks in the range 2θ = 5–70°, by angle:
2θ (°), Rel. int., index
13.5, 100, 0 0 1
19.2, 90, 1 1 0
23.6, 94, 1 1 1
27.3, 50, 0 0 2
30.6, 58, 2 0 1
33.5, 47, 1 1 2
38.9, 62, 2 2 0
41.4, 33, 2 2 1
46.0, 48, 3 1 1
52.3, 27, 3 1 2